The following is a calculated powder diffractogram of Ac7Cd3N2. It was derived from a DFT-relaxed cell (GGA-PBE, Alexandria), using λ = 1.5418 Å (Cu Kα).
No peak broadening, texture or thermal motion is included.

Cell and atoms:
```
data_Ac7Cd3N2
_symmetry_space_group_name_H-M 'P 1'
_symmetry_Int_Tables_number 1
_cell_length_a 13.3431
_cell_length_b 13.3431
_cell_length_c 5.3301
_cell_angle_alpha 90.00
_cell_angle_beta 90.00
_cell_angle_gamma 156.65
loop_
_symmetry_equiv_pos_as_xyz
'x,y,z'
loop_
_atom_site_label
_atom_site_type_symbol
_atom_site_fract_x
_atom_site_fract_y
_atom_site_fract_z
_atom_site_occupancy
Ac1 Ac 0.0000 0.0000 0.0000 1
Ac2 Ac 0.1017 0.8983 0.5000 1
Ac3 Ac 0.2020 0.7980 0.0000 1
Ac4 Ac 0.3998 0.6002 0.0000 1
Ac5 Ac 0.6002 0.3998 0.0000 1
Ac6 Ac 0.7980 0.2020 0.0000 1
Ac7 Ac 0.8983 0.1017 0.5000 1
Cd1 Cd 0.3004 0.6996 0.5000 1
Cd2 Cd 0.5000 0.5000 0.5000 1
Cd3 Cd 0.6996 0.3004 0.5000 1
N1 N 0.1043 0.8957 0.0000 1
N2 N 0.8957 0.1043 0.0000 1
```

Main lines, most intense first (2θ = 10–90°):
29.09°, d = 3.070 Å, rel. 100; 33.18°, d = 2.700 Å, rel. 19; 33.63°, d = 2.665 Å, rel. 18; 34.31°, d = 2.613 Å, rel. 17; 56.78°, d = 1.621 Å, rel. 16; 57.37°, d = 1.606 Å, rel. 15; 58.28°, d = 1.583 Å, rel. 14; 60.29°, d = 1.535 Å, rel. 14; 47.96°, d = 1.897 Å, rel. 14; 48.47°, d = 1.878 Å, rel. 13